No. 1
This entry pairs a crystal structure of Er6Tm3Al with its theoretical X-ray diffraction stick pattern. Radiation: copper Kα. Structure: the GGA-PBE geometry in Alexandria.
Intensities are scaled so that the largest is 100.

Most intense lines, 2θ from 5° to 70°, in order of rising 2θ:
| 2theta | I_rel | hkl |
| --- | --- | --- |
| 25.75 | 14 | 1 2 2 |
| 31.98 | 28 | 1 0 4 |
| 32.24 | 100 | 4 0 1 |
| 33.07 | 50 | 0 3 3 |
| 35.04 | 38 | 0 4 2 |
| 58.59 | 13 | 7 -3 4 |

Structure:
a = 13.2076 Å, b = 13.2076 Å, c = 11.5450 Å
α = 90.00°, β = 90.00°, γ = 120.00°
Space group R-3 (No. 148, hexagonal axes)
Asymmetric unit:
Er 0.0002 0.2524 0.0001
Er 0.0863 0.1738 0.7524
Tm 0.0620 0.5310 0.1202
Al 0.0000 0.0000 0.0000
Al 0.0000 0.0000 0.5000

***

No. 2
This entry pairs a crystal structure of Na2AcPmF8 with its theoretical X-ray diffraction stick pattern. Radiation: copper Kα. Structure: the GGA-PBE geometry in Alexandria.
Intensities are scaled so that the largest is 100.

Most intense lines, 2θ from 5° to 70°, in order of rising 2θ:
| 2theta | I_rel | hkl |
| --- | --- | --- |
| 17.33 | 90 | 1 0 1 |
| 26.98 | 100 | 1 1 2 |
| 35.99 | 28 | 2 1 1 |
| 42.50 | 28 | 2 1 3 |
| 44.79 | 70 | 2 2 0 |
| 53.12 | 31 | 3 1 2 |

Structure:
a = 5.716 Å, b = 5.716 Å, c = 11.476 Å
α = 90.00°, β = 90.00°, γ = 90.00°
Space group I-4m2 (No. 119)
Asymmetric unit:
Na 0.000 0.000 0.000
Na 0.000 0.500 0.250
Ac 0.000 0.000 0.500
Pm 0.000 0.500 0.750
F 0.238 0.260 0.629